Diffraction record for CsNpFe2S4. The powder diffractogram is theoretical, not measured: it uses a DFT-relaxed cell (GGA-PBE, Alexandria) and Cu Kα, 1.54184 Å.

Principal peaks in the range 2θ = 10–80°, in order of rising 2θ:
| 2θ (°) | d [Å] | I/Imax |
| --- | --- | --- |
| 14.34 | 6.177 | 67 |
| 17.65 | 5.026 | 53 |
| 19.35 | 4.588 | 28 |
| 21.27 | 4.177 | 48 |
| 26.30 | 3.388 | 100 |
| 28.91 | 3.089 | 43 |
| 34.57 | 2.595 | 31 |
| 35.73 | 2.513 | 48 |
| 40.52 | 2.226 | 31 |
| 43.35 | 2.087 | 52 |

Cell and atoms:
abc: 6.9564 6.9564 6.9564
angles: 126.22 106.20 97.48
Fractional positions:
Cs 0.0000 0.0000 0.0000
Np 0.5000 0.5000 0.0000
Fe 0.3713 0.8713 0.5000
Fe 0.6287 0.1287 0.5000
S 0.1601 0.0916 0.5901
S 0.4985 0.9084 0.0685
S 0.5015 0.5700 0.4099
S 0.8399 0.4300 0.9315